The following is a calculated X-ray diffraction stick pattern of Tl2BiTeRh. It was derived from a GGA-PBE-relaxed structure, using Cu Kα (λ = 1.5418 Å).
Lines closer than 0.1° are merged.

Top 8 peaks for 2θ from 10° to 90°, sorted by position:
2θ = 16.71°, I = 245
2θ = 29.15°, I = 1000
2θ = 33.79°, I = 922
2θ = 48.53°, I = 675
2θ = 57.62°, I = 459
2θ = 60.44°, I = 235
2θ = 78.60°, I = 191
2θ = 81.06°, I = 310

Structure:
```
Tl2BiTeRh
1.0
5.3070 0.0000 0.0000
0.0000 5.3070 0.0000
0.0000 0.0000 5.3024
Tl Bi Te Rh
2 1 1 1
direct
0.0000 0.5000 0.0000
0.5000 0.0000 0.0000
0.0000 0.0000 0.5000
0.5000 0.5000 0.5000
0.0000 0.0000 0.0000
```

The following is a calculated X-ray diffraction stick pattern of Er2HgPd6. It was derived from a GGA-PBE-relaxed structure, using Cu Kα (λ = 1.5418 Å).
Lines closer than 0.1° are merged.

Top 8 peaks for 2θ from 10° to 90°, sorted by position:
2θ = 34.91°, I = 665
2θ = 37.65°, I = 523
2θ = 37.83°, I = 707
2θ = 39.17°, I = 511
2θ = 39.79°, I = 1000
2θ = 51.22°, I = 228
2θ = 57.53°, I = 176
2θ = 72.73°, I = 172

Structure:
```
Er2HgPd6
1.0
4.1354 -3.8599 0.0000
4.1354 3.8599 0.0000
-0.8070 0.0000 5.2824
Er Hg Pd
2 1 6
direct
0.1927 0.1927 0.1322
0.8073 0.8073 0.8678
0.5000 0.5000 0.5000
0.0189 0.6731 0.3549
0.3213 0.6787 0.0000
0.3269 0.9811 0.6451
0.6731 0.0189 0.3549
0.6787 0.3213 0.0000
0.9811 0.3269 0.6451
```

The following is a calculated X-ray diffraction stick pattern of Ag7PbAu5. It was derived from a GGA-PBE-relaxed structure, using Cu Kα (λ = 1.5418 Å).
Lines closer than 0.1° are merged.

Top 8 peaks for 2θ from 10° to 90°, sorted by position:
2θ = 18.28°, I = 519
2θ = 37.01°, I = 925
2θ = 37.17°, I = 883
2θ = 37.44°, I = 613
2θ = 37.59°, I = 802
2θ = 41.74°, I = 1000
2θ = 42.44°, I = 542
2θ = 67.26°, I = 371

Structure:
```
Ag7PbAu5
1.0
5.5321 -4.8383 0.0000
5.5321 4.8383 0.0000
-2.6319 0.0000 4.8369
Ag Pb Au
7 1 5
direct
0.0000 0.0000 0.0000
0.0030 0.7074 0.3508
0.1413 0.5673 0.8622
0.5673 0.1413 0.8622
0.5761 0.5761 0.0790
0.7074 0.0030 0.3508
0.7068 0.7068 0.6951
0.3521 0.3521 0.3853
0.1356 0.1356 0.6402
0.3542 0.8461 0.8418
0.3555 0.8611 0.3491
0.8461 0.3542 0.8418
0.8611 0.3555 0.3491
```

The following is a calculated X-ray diffraction stick pattern of Ti4In2Co. It was derived from a GGA-PBE-relaxed structure, using Cu Kα (λ = 1.5418 Å).
Lines closer than 0.1° are merged.

Top 8 peaks for 2θ from 10° to 90°, sorted by position:
2θ = 27.68°, I = 554
2θ = 32.85°, I = 1000
2θ = 33.70°, I = 446
2θ = 37.22°, I = 772
2θ = 38.14°, I = 929
2θ = 41.04°, I = 477
2θ = 45.82°, I = 821
2θ = 48.32°, I = 432

Structure:
```
Ti4In2Co
1.0
8.1574 0.0000 0.0000
0.0000 10.5228 0.0000
0.0000 0.0000 3.0082
Ti In Co
8 4 2
direct
0.1388 0.1900 0.0000
0.1981 0.9055 0.5000
0.3019 0.4055 0.5000
0.3612 0.6900 0.0000
0.6388 0.3100 0.0000
0.6981 0.5945 0.5000
0.8019 0.0945 0.5000
0.8612 0.8100 0.0000
0.0646 0.6316 0.5000
0.4354 0.1316 0.5000
0.5646 0.8684 0.5000
0.9354 0.3684 0.5000
0.0000 0.0000 0.0000
0.5000 0.5000 0.0000
```

The following is a calculated X-ray diffraction stick pattern of K3Na4Pb. It was derived from a GGA-PBE-relaxed structure, using Cu Kα (λ = 1.5418 Å).
Lines closer than 0.1° are merged.

Top 8 peaks for 2θ from 10° to 90°, sorted by position:
2θ = 12.49°, I = 1000
2θ = 14.79°, I = 618
2θ = 15.24°, I = 531
2θ = 22.84°, I = 430
2θ = 27.13°, I = 474
2θ = 27.50°, I = 516
2θ = 30.46°, I = 414
2θ = 36.81°, I = 441

Structure:
```
K3Na4Pb
1.0
-3.6479 5.2453 4.8082
3.6479 -5.2453 4.8082
3.6479 5.2453 -4.8082
K Na Pb
3 4 1
direct
0.0000 0.0000 0.0000
0.0437 0.7308 0.3129
0.4178 0.7308 0.6871
0.1573 0.3548 0.8025
0.5524 0.3548 0.1975
0.6079 0.3399 0.7320
0.6079 0.8759 0.2680
0.8968 0.3968 0.5000
```

The following is a calculated X-ray diffraction stick pattern of Li2CaHBrF. It was derived from a GGA-PBE-relaxed structure, using Cu Kα (λ = 1.5418 Å).
Lines closer than 0.1° are merged.

Top 8 peaks for 2θ from 10° to 90°, sorted by position:
2θ = 11.20°, I = 680
2θ = 26.59°, I = 712
2θ = 27.45°, I = 1000
2θ = 30.40°, I = 429
2θ = 32.58°, I = 464
2θ = 34.06°, I = 327
2θ = 37.55°, I = 397
2θ = 45.50°, I = 343

Structure:
```
Li2CaHBrF
1.0
3.4903 -1.9326 0.0000
3.4903 1.9326 0.0000
-2.2821 0.0000 7.8967
Li Ca H Br F
2 1 1 1 1
direct
0.0000 0.0000 0.0000
0.7222 0.7222 0.2666
0.1744 0.1744 0.5356
0.8326 0.8326 0.5004
0.6221 0.6221 0.8470
0.1149 0.1149 0.2303
```

The following is a calculated X-ray diffraction stick pattern of SmDyYSc. It was derived from a GGA-PBE-relaxed structure, using Cu Kα (λ = 1.5418 Å).
Lines closer than 0.1° are merged.

Top 8 peaks for 2θ from 10° to 90°, sorted by position:
2θ = 15.37°, I = 199
2θ = 28.40°, I = 111
2θ = 31.02°, I = 239
2θ = 31.86°, I = 277
2θ = 32.45°, I = 1000
2θ = 45.06°, I = 169
2θ = 56.09°, I = 130
2θ = 57.13°, I = 258

Structure:
```
SmDyYSc
1.0
6.0693 -2.8090 0.0000
6.0693 2.8090 0.0000
-1.1828 0.0000 3.6014
Sm Dy Y Sc
1 1 1 1
direct
0.0000 0.0000 0.0000
0.5438 0.5438 0.5438
0.2753 0.2753 0.7768
0.7706 0.7706 0.2712
```

The following is a calculated X-ray diffraction stick pattern of ZrPbO5. It was derived from a GGA-PBE-relaxed structure, using Cu Kα (λ = 1.5418 Å).
Lines closer than 0.1° are merged.

Top 8 peaks for 2θ from 10° to 90°, sorted by position:
2θ = 14.19°, I = 503
2θ = 23.44°, I = 522
2θ = 26.03°, I = 377
2θ = 27.08°, I = 629
2θ = 27.49°, I = 1000
2θ = 28.61°, I = 510
2θ = 31.35°, I = 535
2θ = 32.87°, I = 439

Structure:
```
ZrPbO5
1.0
6.5294 0.0000 0.0000
0.1721 7.6748 0.0000
2.3316 0.1326 7.5895
Zr Pb O
4 4 20
direct
0.0000 0.0000 0.0000
0.0286 0.4684 0.9802
0.9246 0.9903 0.5040
0.9692 0.5332 0.4392
0.4097 0.6566 0.5434
0.5110 0.1914 0.8427
0.5413 0.2732 0.3146
0.5888 0.7354 0.8925
0.1006 0.7566 0.5383
0.1112 0.5620 0.1829
0.1779 0.2268 0.8584
0.2680 0.4294 0.4653
0.3038 0.0268 0.4079
0.3364 0.9298 0.9067
0.3403 0.5633 0.8148
0.3470 0.9351 0.2482
0.3964 0.2651 0.1092
0.4941 0.8085 0.2393
0.6173 0.1426 0.5483
0.6822 0.5093 0.3718
0.7029 0.7559 0.5918
0.7314 0.4509 0.8610
0.7974 0.0194 0.8141
0.8499 0.2402 0.1077
0.8851 0.7357 0.9766
0.9317 0.9408 0.2607
0.9348 0.4735 0.7348
0.9491 0.2571 0.4737
```